Starting from a structure optimized by DFT (GGA-PBE), the XRD peak list of Sr2CuBiO6 was simulated for CuKα.
Peak positions follow from Bragg's law for the DFT cell and can differ from measured ones.

Largest 10 diffraction maxima, sorted by position, 15° ≤ 2θ ≤ 90°:
| Position (°2θ) | d/Å | I (rel.) |
| --- | --- | --- |
| 18.81 | 4.717 | 20 |
| 21.75 | 4.085 | 12 |
| 30.96 | 2.889 | 100 |
| 36.47 | 2.464 | 14 |
| 44.35 | 2.043 | 31 |
| 48.57 | 1.874 | 7 |
| 55.06 | 1.668 | 40 |
| 64.52 | 1.444 | 19 |
| 73.27 | 1.292 | 18 |
| 89.83 | 1.092 | 22 |

Cell and atoms:
```
Sr2CuBiO6
1.0
0.000 4.085 4.085
4.085 0.000 4.085
4.085 4.085 0.000
Sr Cu Bi O
2 1 1 6
Cartesian
2.043 2.043 2.043
6.128 6.128 6.128
0.000 0.000 0.000
4.085 4.085 4.085
4.085 4.085 1.959
4.085 1.959 4.085
6.211 4.085 4.085
1.959 4.085 4.085
4.085 6.211 4.085
4.085 4.085 6.211
```